# 1
Starting from DFT lattice parameters and positions (PBE), the powder XRD pattern of KY4Rh was calculated for Cu Kα (weighted mean of Kα1 and Kα2).

Cell and atoms:
```
6
Lattice="0.000 4.579 4.579 4.579 0.000 4.579 4.579 4.579 0.000" Properties=species:S:1:pos:R:3 pbc="T T T"
K 0.000 0.000 0.000
Y 3.455 3.455 3.455
Y 5.703 5.703 3.455
Y 5.703 3.455 5.703
Y 3.455 5.703 5.703
Rh 6.868 6.868 6.868
```

Main lines, low angle first (10° ≤ 2θ ≤ 90°):
2theta, I_rel
16.77, 18.2
27.55, 20.1
32.43, 100.0
33.91, 47.9
39.36, 8.1
51.88, 33.7
56.88, 29.5
67.01, 11.3
67.89, 17.9
80.58, 20.3


# 2
Starting from DFT lattice parameters and positions (PBE), the powder XRD pattern of Tm7InIr2 was calculated for Cu Kα (weighted mean of Kα1 and Kα2).

Cell and atoms:
```
10
Lattice="4.361 -6.783 0.000 4.361 6.783 0.000 0.000 0.000 5.221" Properties=species:S:1:pos:R:3 pbc="T T T"
Tm 0.000 0.000 0.000
Tm 2.730 1.769 0.000
Tm 4.361 3.808 2.610
Tm 2.730 -1.769 0.000
Tm 5.992 1.769 0.000
Tm 4.361 -3.808 2.610
Tm 5.992 -1.769 0.000
In 4.361 0.000 2.610
Ir 4.361 4.035 0.000
Ir 4.361 -4.035 0.000
```

Main lines, low angle first (10° ≤ 2θ ≤ 90°):
2theta, I_rel
13.05, 44.8
16.98, 100.0
31.46, 72.5
33.47, 84.5
34.35, 85.6
34.62, 43.7
35.97, 62.1
36.75, 42.4
48.72, 59.3
51.19, 33.1


# 3
Starting from DFT lattice parameters and positions (PBE), the powder XRD pattern of HoTiFe11C was calculated for Cu Kα (weighted mean of Kα1 and Kα2).

Cell and atoms:
```
14
Lattice="-2.419 4.273 4.243 2.419 -4.273 4.243 2.419 4.273 -4.243" Properties=species:S:1:pos:R:3 pbc="T T T"
Ho 0.000 0.000 0.000
Ti 0.000 0.000 5.309
Fe 2.419 1.879 -0.086
Fe 2.419 0.000 1.840
Fe 0.000 0.000 2.958
Fe 2.419 -1.212 4.175
Fe 1.208 2.125 2.060
Fe 3.631 2.125 2.060
Fe 2.419 1.212 4.175
Fe 0.000 4.273 2.287
Fe 0.000 2.394 4.157
Fe -1.212 2.149 6.303
Fe 1.212 2.149 6.303
C 0.000 4.273 4.189
```

Main lines, low angle first (10° ≤ 2θ ≤ 90°):
2theta, I_rel
29.86, 42.7
36.60, 27.1
36.81, 25.1
37.16, 21.5
42.30, 34.7
42.57, 100.0
42.65, 53.9
43.00, 90.9
48.26, 25.9
70.73, 24.1


# 4
Starting from DFT lattice parameters and positions (PBE), the powder XRD pattern of AgP3O9 was calculated for Cu Kα (weighted mean of Kα1 and Kα2).

Cell and atoms:
```
26
Lattice="4.797 -4.991 0.000 4.797 4.991 0.000 0.000 0.000 7.137" Properties=species:S:1:pos:R:3 pbc="T T T"
Ag 2.031 0.000 0.000
Ag 7.563 0.000 3.569
P 4.734 2.105 6.864
P 2.743 0.000 3.569
P 4.860 2.105 3.842
P 4.734 -2.105 0.274
P 6.852 0.000 0.000
P 4.860 -2.105 3.295
O 4.497 3.549 3.662
O 3.353 1.758 0.253
O 5.097 3.549 7.044
O 1.959 0.270 4.824
O 1.959 -0.270 2.313
O 3.764 1.180 3.159
O 4.797 1.585 5.353
O 6.241 1.758 3.316
O 5.830 1.180 0.410
O 3.764 -1.180 3.979
O 3.353 -1.758 6.885
O 4.797 -1.585 1.784
O 5.830 -1.180 6.727
O 7.635 0.270 5.881
O 7.635 -0.270 1.256
O 4.497 -3.549 3.475
O 6.241 -1.758 3.821
O 5.097 -3.549 0.093
```

Main lines, low angle first (10° ≤ 2θ ≤ 90°):
2theta, I_rel
17.83, 61.8
24.95, 73.2
25.76, 100.0
28.39, 14.0
28.68, 20.9
36.17, 39.8
40.08, 16.8
40.76, 14.2
43.75, 13.0
48.28, 12.7